(1)
Calculated PXRD pattern
Compound: Sb2AuCl
Radiation: λ = 1.5418 Å (Cu Kα)
Structure: a DFT-relaxed cell (GGA-PBE, Alexandria)

Structure:
Cell lengths 14.265, 3.891, 4.209 Å; angles 90.00, 106.78, 90.00 degrees
Atoms (fractional coordinates):
Sb (0.000, 0.000, 0.000)
Sb (0.171, 0.500, 0.167)
Sb (0.500, 0.500, 0.000)
Sb (0.671, 0.000, 0.167)
Au (0.138, 0.000, 0.635)
Au (0.638, 0.500, 0.635)
Cl (0.393, 0.000, 0.392)
Cl (0.893, 0.500, 0.392)

The 10 most intense peaks (10° ≤ 2θ ≤ 80°), most intense first:
12.96 deg, d 6.829, I = 1000; 34.07 deg, d 2.632, I = 499; 33.96 deg, d 2.640, I = 494; 41.10 deg, d 2.196, I = 242; 41.29 deg, d 2.186, I = 235; 23.78 deg, d 3.742, I = 230; 42.98 deg, d 2.105, I = 180; 26.10 deg, d 3.414, I = 178; 46.69 deg, d 1.946, I = 141; 30.22 deg, d 2.958, I = 118



(2)
Calculated PXRD pattern
Compound: SnGeB2Br
Radiation: λ = 1.5418 Å (Cu Kα)
Structure: a DFT-relaxed cell (GGA-PBE, Alexandria)

Structure:
Cell lengths 4.474, 4.474, 5.783 Å; angles 90.00, 90.00, 90.00 degrees
Atoms (fractional coordinates):
Sn (0.000, 0.000, 0.000)
Ge (0.500, 0.500, 0.500)
B (0.000, 0.500, 0.000)
B (0.500, 0.000, 0.000)
Br (0.000, 0.000, 0.500)

The 10 most intense peaks (10° ≤ 2θ ≤ 80°), most intense first:
28.21 deg, d 3.164, I = 1000; 42.35 deg, d 2.134, I = 682; 19.84 deg, d 4.474, I = 565; 51.66 deg, d 1.770, I = 543; 30.93 deg, d 2.891, I = 506; 25.17 deg, d 3.539, I = 502; 40.31 deg, d 2.237, I = 486; 67.48 deg, d 1.388, I = 280; 74.69 deg, d 1.271, I = 263; 37.02 deg, d 2.428, I = 234



(3)
Calculated PXRD pattern
Compound: Nd2Y5Ho2
Radiation: λ = 1.5418 Å (Cu Kα)
Structure: a DFT-relaxed cell (GGA-PBE, Alexandria)

Structure:
Cell lengths 8.019, 8.019, 8.023 Å; angles 107.49, 107.49, 36.87 degrees
Atoms (fractional coordinates):
Nd (0.222, 0.222, 0.334)
Nd (0.778, 0.778, 0.666)
Y (0.000, 0.000, 0.000)
Y (0.110, 0.110, 0.667)
Y (0.334, 0.334, 0.999)
Y (0.666, 0.666, 0.001)
Y (0.890, 0.890, 0.333)
Ho (0.445, 0.445, 0.667)
Ho (0.555, 0.555, 0.333)

The 10 most intense peaks (10° ≤ 2θ ≤ 80°), most intense first:
30.53 deg, d 2.928, I = 1000; 35.39 deg, d 2.536, I = 502; 60.54 deg, d 1.529, I = 416; 50.92 deg, d 1.793, I = 353; 63.54 deg, d 1.464, I = 120; 74.89 deg, d 1.268, I = 55; 11.63 deg, d 7.609, I = 30; 25.52 deg, d 3.491, I = 21; 18.54 deg, d 4.785, I = 19; 13.99 deg, d 6.332, I = 14



What is the formula in the third record?
Nd2Y5Ho2